Diffraction record for HoGe12Rh4. The powder XRD pattern is computed, not measured: it uses a PBE-relaxed structure and a wavelength of 1.5418 Å.
Lines closer than 0.1° are merged.

Largest 6 diffraction maxima, by angle, 10 to 80 degrees two-theta:
2θ 29.26, d 3.052, I = 36
2θ 32.80, d 2.730, I = 100
2θ 39.04, d 2.307, I = 51
2θ 47.07, d 1.930, I = 29
2θ 51.88, d 1.762, I = 50
2θ 54.17, d 1.693, I = 38

Unit cell a=7.4768 b=7.4768 c=7.4768 alpha=109.47 beta=109.47 gamma=109.47
Fractional coordinates of all 17 atoms:
Ho 0.0000 0.0000 0.0000
Ge 0.1525 0.5005 0.3480
Ge 0.1525 0.8045 0.6520
Ge 0.1955 0.3480 0.8475
Ge 0.3480 0.1525 0.5005
Ge 0.3480 0.8475 0.1955
Ge 0.4995 0.6520 0.8475
Ge 0.5005 0.3480 0.1525
Ge 0.6520 0.1525 0.8045
Ge 0.6520 0.8475 0.4995
Ge 0.8045 0.6520 0.1525
Ge 0.8475 0.1955 0.3480
Ge 0.8475 0.4995 0.6520
Rh 0.0000 0.0000 0.5000
Rh 0.0000 0.5000 0.0000
Rh 0.5000 0.0000 0.0000
Rh 0.5000 0.5000 0.5000


Diffraction record for Ho4TlCd5. The powder XRD pattern is computed, not measured: it uses a PBE-relaxed structure and a wavelength of 1.5418 Å.
Lines closer than 0.1° are merged.

Largest 6 diffraction maxima, by angle, 10 to 80 degrees two-theta:
2θ 33.67, d 2.662, I = 52
2θ 34.29, d 2.615, I = 100
2θ 34.48, d 2.601, I = 100
2θ 34.77, d 2.580, I = 50
2θ 49.18, d 1.853, I = 36
2θ 62.03, d 1.496, I = 18

Unit cell a=8.2087 b=8.2087 c=6.4909 alpha=104.15 beta=104.15 gamma=36.64
Fractional coordinates of all 10 atoms:
Ho 0.0975 0.0975 0.3778
Ho 0.3069 0.3069 0.1854
Ho 0.6931 0.6931 0.8146
Ho 0.9025 0.9025 0.6222
Tl 0.5000 0.5000 0.5000
Cd 0.0998 0.0998 0.9039
Cd 0.2929 0.2929 0.6836
Cd 0.5000 0.5000 0.0000
Cd 0.7071 0.7071 0.3164
Cd 0.9002 0.9002 0.0961


Diffraction record for Lu5Ta. The powder XRD pattern is computed, not measured: it uses a PBE-relaxed structure and a wavelength of 1.5418 Å.
Lines closer than 0.1° are merged.

Largest 6 diffraction maxima, by angle, 10 to 80 degrees two-theta:
2θ 32.68, d 2.740, I = 100
2θ 37.80, d 2.380, I = 17
2θ 37.98, d 2.369, I = 33
2θ 54.66, d 1.679, I = 23
2θ 65.03, d 1.434, I = 14
2θ 65.29, d 1.429, I = 25

Unit cell a=4.7360 b=14.2220 c=4.7605 alpha=90.00 beta=90.00 gamma=90.00
Fractional coordinates of all 12 atoms:
Lu 0.0000 0.0000 0.0000
Lu 0.0000 0.1545 0.5000
Lu 0.0000 0.3432 0.0000
Lu 0.0000 0.6568 0.0000
Lu 0.0000 0.8455 0.5000
Lu 0.5000 0.1568 0.0000
Lu 0.5000 0.3455 0.5000
Lu 0.5000 0.5000 0.0000
Lu 0.5000 0.6545 0.5000
Lu 0.5000 0.8432 0.0000
Ta 0.0000 0.5000 0.5000
Ta 0.5000 0.0000 0.5000